For La6IrRuAu2, a cell relaxed with GGA-PBE gives the theoretical PXRD pattern in this record (Cu Kα X-rays).
Lines closer than 0.1° are merged.

Cell and atoms:
Cell lengths 7.1371, 7.9318, 12.9615 Å; angles 90.00, 123.24, 90.00 degrees
Space group P2_1/c (No. 14)
Symmetry-distinct sites (fractional):
1 La 0.1099 0.0357 0.2480
2 La 0.2420 0.6866 0.0672
3 La 0.3868 0.1826 0.0669
4 Ir 0.5000 0.0000 0.5000
5 Ru 0.0000 0.0000 0.0000
6 Au 0.3008 0.1069 0.7506

Main lines, sorted by position (10 to 90 degrees two-theta):
two_theta	d_spacing	intensity	h k l
23.46	3.792	721	1 1 -3
27.66	3.225	629	1 0 2
28.65	3.116	1000	2 1 -3
29.92	2.987	796	1 1 -4
30.61	2.921	619	1 2 1
33.05	2.710	507	0 0 4
33.55	2.671	508	0 2 3
36.23	2.479	657	1 3 -1
37.19	2.418	579	1 3 0
43.06	2.101	865	3 1 -1


For La8Ir3RuAu3, a cell relaxed with GGA-PBE gives the theoretical PXRD pattern in this record (Cu Kα X-rays).
Lines closer than 0.1° are merged.

Cell and atoms:
Cell lengths 8.4662, 8.4662, 21.6597 Å; angles 90.00, 90.00, 120.00 degrees
Space group R-3m (No. 166, hexagonal axes)
Symmetry-distinct sites (fractional):
1 La 0.0000 0.0000 0.2389
2 La 0.0069 0.5034 0.2378
3 Ir 0.0000 0.5000 0.5000
4 Ru 0.0000 0.0000 0.5000
5 Au 0.0000 0.5000 0.0000

Main lines, sorted by position (10 to 90 degrees two-theta):
two_theta	d_spacing	intensity	h k l
14.59	6.071	73	0 1 2
29.42	3.036	1000	0 2 4
41.46	2.178	351	2 0 8
42.72	2.117	380	2 2 0
52.73	1.736	225	4 0 4
61.05	1.518	128	0 4 8
68.29	1.373	131	2 2 12
70.10	1.342	179	2 4 4
77.37	1.233	121	4 2 8
78.23	1.222	65	6 0 0


For LaSb2IrAu, a cell relaxed with GGA-PBE gives the theoretical PXRD pattern in this record (Cu Kα X-rays).
Lines closer than 0.1° are merged.

Cell and atoms:
Cell lengths 5.1470, 5.1470, 5.1710 Å; angles 90.00, 90.00, 90.00 degrees
Space group P4/mmm (No. 123)
Symmetry-distinct sites (fractional):
1 La 0.0000 0.0000 0.0000
2 Sb 0.0000 0.5000 0.5000
3 Ir 0.5000 0.5000 0.5000
4 Au 0.5000 0.5000 0.0000

Main lines, sorted by position (10 to 90 degrees two-theta):
two_theta	d_spacing	intensity	h k l
17.22	5.149	626	1 0 0
24.44	3.642	469	1 1 0
30.02	2.976	765	1 1 1
34.70	2.585	506	0 0 2
34.86	2.574	1000	2 0 0
50.01	1.824	721	2 0 2
50.13	1.820	358	2 2 0
59.54	1.553	215	3 1 1
62.40	1.488	370	2 2 2
84.06	1.151	329	4 2 0